1.
Diffraction record for Gd3NbO7. The XRD peak list is simulated, not measured: it uses a cell relaxed with PBE and Cu Kα (λ = 1.5418 Å).
Lines closer than 0.1° are merged.

Cell and atoms:
a = 7.581 Å, b = 10.768 Å, c = 7.568 Å
α = 90.00°, β = 90.00°, γ = 90.00°
Atoms (fractional coordinates):
Gd  0.010  0.250  0.209
Gd  0.249  0.521  0.038
Gd  0.249  0.979  0.038
Gd  0.251  0.021  0.538
Gd  0.251  0.479  0.538
Gd  0.490  0.750  0.709
Gd  0.510  0.250  0.291
Gd  0.749  0.521  0.462
Gd  0.749  0.979  0.462
Gd  0.751  0.021  0.962
Gd  0.751  0.479  0.962
Gd  0.990  0.750  0.791
Nb  0.003  0.250  0.743
Nb  0.497  0.750  0.243
Nb  0.503  0.250  0.757
Nb  0.997  0.750  0.257
O  0.035  0.125  0.952
O  0.035  0.375  0.952
O  0.041  0.614  0.419
O  0.041  0.886  0.419
O  0.247  0.617  0.770
O  0.247  0.883  0.770
O  0.249  0.250  0.669
O  0.251  0.750  0.169
O  0.253  0.117  0.270
O  0.253  0.383  0.270
O  0.459  0.114  0.919
O  0.459  0.386  0.919
O  0.465  0.625  0.452
O  0.465  0.875  0.452
O  0.535  0.125  0.548
O  0.535  0.375  0.548
O  0.541  0.614  0.081
O  0.541  0.886  0.081
O  0.747  0.617  0.730
O  0.747  0.883  0.730
O  0.749  0.250  0.831
O  0.751  0.750  0.331
O  0.753  0.117  0.230
O  0.753  0.383  0.230
O  0.959  0.114  0.581
O  0.959  0.386  0.581
O  0.965  0.625  0.048
O  0.965  0.875  0.048

The 10 most intense peaks (10 to 90 degrees two-theta), in order of rising 2θ:
two_theta  intensity
26.32  5
28.82  100
33.28  12
33.46  22
47.94  34
52.68  5
56.76  11
56.99  20
59.68  7
77.48  6


2.
Diffraction record for Gd3NbO7. The XRD peak list is simulated, not measured: it uses a cell relaxed with PBE and Cu Kα (λ = 1.5418 Å).
Lines closer than 0.1° are merged.

Cell and atoms:
a = 8.317 Å, b = 5.540 Å, c = 7.654 Å
α = 90.00°, β = 114.45°, γ = 90.00°
Atoms (fractional coordinates):
Gd  0.000  0.006  0.000
Gd  0.000  0.994  0.500
Gd  0.243  0.467  0.903
Gd  0.243  0.533  0.403
Gd  0.760  0.459  0.591
Gd  0.760  0.541  0.091
Nb  0.500  0.009  0.238
Nb  0.500  0.991  0.738
O  0.004  0.217  0.749
O  0.004  0.783  0.249
O  0.180  0.309  0.148
O  0.180  0.691  0.648
O  0.296  0.198  0.643
O  0.296  0.802  0.143
O  0.502  0.257  0.065
O  0.502  0.743  0.565
O  0.518  0.206  0.450
O  0.518  0.794  0.950
O  0.708  0.191  0.851
O  0.708  0.809  0.351
O  0.867  0.335  0.356
O  0.867  0.665  0.856

The 10 most intense peaks (10 to 90 degrees two-theta), in order of rising 2θ:
two_theta  intensity
28.37  89
28.56  100
32.32  22
32.43  23
34.17  22
46.44  31
47.75  22
48.07  14
55.27  23
55.61  17


3.
Diffraction record for GdNbO4. The XRD peak list is simulated, not measured: it uses a cell relaxed with PBE and Cu Kα (λ = 1.5418 Å).
Lines closer than 0.1° are merged.

Cell and atoms:
a = 6.681 Å, b = 6.681 Å, c = 5.171 Å
α = 110.90°, β = 110.90°, γ = 114.78°
Atoms (fractional coordinates):
Gd  0.129  0.871  0.750
Gd  0.871  0.129  0.250
Nb  0.394  0.606  0.250
Nb  0.606  0.394  0.750
O  0.134  0.552  0.340
O  0.222  0.286  0.798
O  0.286  0.222  0.298
O  0.448  0.866  0.160
O  0.552  0.134  0.840
O  0.714  0.778  0.702
O  0.778  0.714  0.202
O  0.866  0.448  0.660

The 10 most intense peaks (10 to 90 degrees two-theta), in order of rising 2θ:
two_theta  intensity
27.95  100
29.48  86
31.80  22
33.20  21
34.80  16
46.64  28
46.89  20
47.85  27
55.25  31
60.00  16


4.
Diffraction record for Gd3NbO7. The XRD peak list is simulated, not measured: it uses a cell relaxed with PBE and Cu Kα (λ = 1.5418 Å).
Lines closer than 0.1° are merged.

Cell and atoms:
a = 6.564 Å, b = 6.564 Å, c = 7.620 Å
α = 90.00°, β = 90.00°, γ = 109.34°
Atoms (fractional coordinates):
Gd  0.023  0.023  0.000
Gd  0.035  0.500  0.253
Gd  0.500  0.035  0.747
Gd  0.500  0.965  0.247
Gd  0.965  0.500  0.753
Gd  0.977  0.977  0.500
Nb  0.497  0.497  0.500
Nb  0.503  0.503  0.000
O  0.129  0.871  0.750
O  0.137  0.863  0.250
O  0.174  0.420  0.972
O  0.186  0.439  0.537
O  0.420  0.174  0.028
O  0.434  0.566  0.250
O  0.439  0.186  0.463
O  0.561  0.814  0.963
O  0.566  0.434  0.750
O  0.580  0.826  0.528
O  0.814  0.561  0.037
O  0.826  0.580  0.472
O  0.863  0.137  0.750
O  0.871  0.129  0.250

The 10 most intense peaks (10 to 90 degrees two-theta), in order of rising 2θ:
two_theta  intensity
28.79  100
33.32  23
33.47  10
47.74  9
47.94  35
56.74  15
56.86  12
56.99  12
77.49  6
79.84  5